Entry 1:
Na3Ti2Si2PO12: calculated X-ray diffraction stick pattern (CuKα), based on a GGA-PBE-relaxed structure.
Kinematic intensities with the Lorentz-polarization factor, no thermal factor.

The 12 most intense peaks (2θ = 10–90°), low angle first:
| d [Å] | Rel. int. |
| --- | --- |
| 6.311 | 21.1 |
| 4.456 | 100.0 |
| 3.799 | 87.5 |
| 3.638 | 19.3 |
| 3.146 | 24.9 |
| 2.890 | 46.1 |
| 2.821 | 79.3 |
| 2.813 | 40.5 |
| 2.572 | 60.2 |
| 1.990 | 24.7 |
| 1.898 | 32.1 |
| 1.682 | 19.1 |

Crystal structure
```
Na3Ti2Si2PO12
1.0
7.722 -4.450 0.000
7.722 4.450 0.000
-5.112 0.000 7.278
Na Ti Si P O
6 4 4 2 24
direct
0.062 0.938 0.500
0.205 0.664 0.773
0.574 0.812 0.030
0.664 0.205 0.273
0.812 0.574 0.530
0.938 0.062 0.000
0.044 0.548 0.339
0.341 0.825 0.211
0.548 0.044 0.839
0.825 0.341 0.711
0.440 0.651 0.532
0.651 0.440 0.032
0.727 0.944 0.521
0.944 0.727 0.021
0.156 0.228 0.524
0.228 0.156 0.024
0.065 0.183 0.846
0.112 0.767 0.036
0.131 0.412 0.522
0.183 0.065 0.346
0.184 0.322 0.193
0.247 0.976 0.032
0.260 0.630 0.515
0.322 0.184 0.693
0.397 0.704 0.357
0.412 0.131 0.022
0.465 0.620 0.033
0.482 0.826 0.716
0.553 0.901 0.338
0.620 0.465 0.533
0.630 0.260 0.015
0.690 0.980 0.702
0.704 0.397 0.857
0.764 0.917 0.017
0.767 0.112 0.536
0.826 0.482 0.216
0.901 0.553 0.838
0.917 0.764 0.517
0.976 0.247 0.532
0.980 0.690 0.202
```

Entry 2:
LiDy2Nb2O8: calculated X-ray diffraction stick pattern (CuKα), based on a GGA-PBE-relaxed structure.
Kinematic intensities with the Lorentz-polarization factor, no thermal factor.

The 12 most intense peaks (2θ = 10–90°), low angle first:
| d [Å] | Rel. int. |
| --- | --- |
| 4.950 | 9.5 |
| 3.680 | 100.0 |
| 2.842 | 63.4 |
| 2.807 | 21.2 |
| 2.622 | 10.6 |
| 2.583 | 14.4 |
| 1.929 | 16.9 |
| 1.923 | 16.4 |
| 1.916 | 15.9 |
| 1.899 | 15.2 |
| 1.840 | 16.0 |
| 1.636 | 8.2 |

Crystal structure
```
LiDy2Nb2O8
1.0
3.378 -5.244 0.000
3.378 5.244 0.000
-3.298 0.000 5.166
Li Dy Nb O
1 2 2 8
direct
0.000 0.000 0.000
0.003 0.997 0.500
0.278 0.722 0.000
0.517 0.483 0.500
0.739 0.261 0.000
0.305 0.473 0.666
0.325 0.110 0.289
0.361 0.062 0.819
0.527 0.695 0.334
0.755 0.017 0.140
0.890 0.675 0.711
0.938 0.639 0.181
0.983 0.245 0.860
```

Entry 3:
Ba3NaSi2O8: calculated X-ray diffraction stick pattern (CuKα), based on a GGA-PBE-relaxed structure.
Kinematic intensities with the Lorentz-polarization factor, no thermal factor.

The 12 most intense peaks (2θ = 10–90°), low angle first:
| d [Å] | Rel. int. |
| --- | --- |
| 4.197 | 53.2 |
| 3.558 | 41.4 |
| 3.015 | 40.9 |
| 2.922 | 100.0 |
| 2.583 | 25.6 |
| 2.502 | 21.9 |
| 2.260 | 27.0 |
| 2.098 | 21.1 |
| 1.901 | 29.7 |
| 1.785 | 11.8 |
| 1.689 | 12.4 |
| 1.460 | 10.6 |

Crystal structure
```
Ba3NaSi2O8
1.0
2.929 -5.051 0.000
2.929 5.051 0.000
0.000 0.000 15.016
Ba Na Si O
6 2 4 16
direct
0.014 0.986 0.750
0.335 0.665 0.577
0.335 0.665 0.923
0.665 0.335 0.077
0.665 0.335 0.423
0.986 0.014 0.250
0.000 0.000 0.000
0.000 0.000 0.500
0.332 0.668 0.139
0.332 0.668 0.361
0.668 0.332 0.639
0.668 0.332 0.861
0.178 0.822 0.105
0.178 0.822 0.395
0.180 0.363 0.102
0.180 0.363 0.398
0.306 0.694 0.750
0.336 0.664 0.250
0.363 0.180 0.602
0.363 0.180 0.898
0.637 0.820 0.102
0.637 0.820 0.398
0.664 0.336 0.750
0.694 0.306 0.250
0.820 0.637 0.602
0.820 0.637 0.898
0.822 0.178 0.605
0.822 0.178 0.895
```

Entry 4:
Cs2Ti2S9: calculated X-ray diffraction stick pattern (CuKα), based on a GGA-PBE-relaxed structure.
Kinematic intensities with the Lorentz-polarization factor, no thermal factor.

The 12 most intense peaks (2θ = 10–90°), low angle first:
| d [Å] | Rel. int. |
| --- | --- |
| 6.988 | 23.2 |
| 4.839 | 90.6 |
| 4.035 | 81.0 |
| 3.384 | 37.5 |
| 3.099 | 100.0 |
| 3.022 | 61.7 |
| 2.793 | 25.9 |
| 2.578 | 39.7 |
| 2.458 | 25.4 |
| 2.075 | 29.3 |
| 2.017 | 19.6 |
| 1.706 | 19.9 |

Crystal structure
```
Cs2Ti2S9
1.0
6.988 4.035 6.706
-6.988 4.035 6.706
0.000 -8.069 6.706
Cs Ti S
6 6 27
direct
0.000 0.000 0.000
0.174 0.440 0.786
0.235 0.235 0.235
0.440 0.786 0.174
0.659 0.659 0.659
0.786 0.174 0.440
0.168 0.867 0.530
0.332 0.993 0.730
0.530 0.168 0.867
0.730 0.332 0.993
0.867 0.530 0.168
0.993 0.730 0.332
0.012 0.709 0.573
0.092 0.603 0.154
0.115 0.912 0.314
0.154 0.092 0.603
0.172 0.559 0.329
0.196 0.822 0.786
0.314 0.115 0.912
0.329 0.172 0.559
0.349 0.705 0.512
0.383 0.779 0.834
0.394 0.894 0.507
0.507 0.394 0.894
0.512 0.349 0.705
0.559 0.329 0.172
0.573 0.012 0.709
0.603 0.154 0.092
0.643 0.953 0.887
0.705 0.512 0.349
0.709 0.573 0.012
0.779 0.834 0.383
0.786 0.196 0.822
0.822 0.786 0.196
0.834 0.383 0.779
0.887 0.643 0.953
0.894 0.507 0.394
0.912 0.314 0.115
0.953 0.887 0.643
```

Entry 5:
TaNiGe: calculated X-ray diffraction stick pattern (CuKα), based on a GGA-PBE-relaxed structure.
Kinematic intensities with the Lorentz-polarization factor, no thermal factor.

The 12 most intense peaks (2θ = 10–90°), low angle first:
| d [Å] | Rel. int. |
| --- | --- |
| 3.345 | 19.3 |
| 2.410 | 85.6 |
| 2.373 | 20.3 |
| 2.293 | 100.0 |
| 2.248 | 31.1 |
| 2.029 | 18.2 |
| 2.016 | 20.6 |
| 1.887 | 30.7 |
| 1.576 | 17.7 |
| 1.445 | 15.6 |
| 1.287 | 18.6 |
| 1.134 | 12.0 |

Crystal structure
```
TaNiGe
1.0
6.298 0.000 0.000
0.000 3.774 0.000
0.000 0.000 7.220
Ta Ni Ge
4 4 4
direct
0.017 0.250 0.176
0.483 0.750 0.676
0.517 0.250 0.324
0.983 0.750 0.824
0.161 0.250 0.571
0.339 0.750 0.071
0.661 0.250 0.929
0.839 0.750 0.429
0.217 0.750 0.384
0.283 0.250 0.884
0.717 0.750 0.116
0.783 0.250 0.616
```

Entry 6:
Li2Ga7: calculated X-ray diffraction stick pattern (CuKα), based on a GGA-PBE-relaxed structure.
Kinematic intensities with the Lorentz-polarization factor, no thermal factor.

The 12 most intense peaks (2θ = 10–90°), low angle first:
| d [Å] | Rel. int. |
| --- | --- |
| 6.792 | 29.8 |
| 5.584 | 40.4 |
| 3.685 | 68.6 |
| 3.620 | 100.0 |
| 2.504 | 28.9 |
| 2.264 | 37.7 |
| 2.161 | 61.2 |
| 2.139 | 35.1 |
| 2.030 | 40.5 |
| 2.001 | 29.3 |
| 1.997 | 32.0 |
| 1.842 | 31.9 |

Crystal structure
```
Li2Ga7
1.0
6.181 -4.272 0.000
6.181 4.272 0.000
-3.205 0.000 6.799
Li Ga
4 14
direct
0.000 0.000 0.000
0.415 0.999 0.417
0.764 0.764 0.066
0.999 0.415 0.417
0.056 0.373 0.042
0.068 0.583 0.828
0.176 0.176 0.716
0.182 0.699 0.243
0.373 0.056 0.042
0.373 0.373 0.362
0.391 0.707 0.021
0.394 0.394 0.706
0.583 0.068 0.828
0.585 0.585 0.351
0.699 0.182 0.243
0.707 0.391 0.021
0.804 0.804 0.611
0.962 0.962 0.458
```

Entry 7:
Mg3H6SeO3: calculated X-ray diffraction stick pattern (CuKα), based on a GGA-PBE-relaxed structure.
Kinematic intensities with the Lorentz-polarization factor, no thermal factor.

The 12 most intense peaks (2θ = 10–90°), low angle first:
| d [Å] | Rel. int. |
| --- | --- |
| 6.892 | 100.0 |
| 5.131 | 11.0 |
| 4.943 | 17.4 |
| 4.784 | 22.2 |
| 3.841 | 17.3 |
| 3.446 | 11.7 |
| 3.360 | 14.1 |
| 3.015 | 11.8 |
| 2.671 | 12.2 |
| 2.598 | 13.6 |
| 2.562 | 21.9 |
| 2.389 | 11.8 |

Crystal structure
```
Mg3H6SeO3
1.0
5.992 0.000 0.000
-2.993 5.235 0.000
-1.951 -1.139 6.892
Mg H Se O
3 6 1 3
direct
0.000 0.000 0.000
0.225 0.600 0.083
0.673 0.218 0.139
0.020 0.179 0.413
0.108 0.877 0.751
0.290 0.047 0.453
0.395 0.186 0.457
0.857 0.841 0.571
0.960 0.331 0.552
0.709 0.661 0.194
0.303 0.942 0.038
0.882 0.213 0.430
0.926 0.854 0.712
```

Entry 8:
Mg16Al12Cr: calculated X-ray diffraction stick pattern (CuKα), based on a GGA-PBE-relaxed structure.
Kinematic intensities with the Lorentz-polarization factor, no thermal factor.

The 12 most intense peaks (2θ = 10–90°), low angle first:
| d [Å] | Rel. int. |
| --- | --- |
| 7.424 | 8.2 |
| 2.625 | 4.9 |
| 2.475 | 100.0 |
| 2.238 | 26.0 |
| 2.143 | 12.0 |
| 2.059 | 12.2 |
| 1.485 | 8.2 |
| 1.429 | 26.4 |
| 1.403 | 4.8 |
| 1.333 | 5.1 |
| 1.237 | 7.9 |
| 1.107 | 5.5 |

Crystal structure
```
Mg16Al12Cr
1.0
-5.249 5.249 5.249
5.249 -5.249 5.249
5.249 5.249 -5.249
Mg Al Cr
16 12 1
direct
0.000 0.000 0.662
0.000 0.399 0.685
0.000 0.662 0.000
0.000 0.685 0.399
0.286 0.601 0.601
0.315 0.315 0.714
0.315 0.714 0.315
0.338 0.338 0.338
0.399 0.000 0.685
0.399 0.685 0.000
0.601 0.286 0.601
0.601 0.601 0.286
0.662 0.000 0.000
0.685 0.000 0.399
0.685 0.399 0.000
0.714 0.315 0.315
0.000 0.185 0.365
0.000 0.365 0.185
0.180 0.815 0.815
0.185 0.000 0.365
0.185 0.365 0.000
0.365 0.000 0.185
0.365 0.185 0.000
0.635 0.635 0.820
0.635 0.820 0.635
0.815 0.180 0.815
0.815 0.815 0.180
0.820 0.635 0.635
0.000 0.000 0.000
```

Entry 9:
Rb2LiAlF6: calculated X-ray diffraction stick pattern (CuKα), based on a GGA-PBE-relaxed structure.
Kinematic intensities with the Lorentz-polarization factor, no thermal factor.

The 12 most intense peaks (2θ = 10–90°), low angle first:
| d [Å] | Rel. int. |
| --- | --- |
| 4.750 | 14.3 |
| 4.114 | 39.3 |
| 2.909 | 100.0 |
| 2.375 | 84.1 |
| 2.057 | 61.7 |
| 1.840 | 21.4 |
| 1.680 | 37.3 |
| 1.454 | 34.8 |
| 1.371 | 11.3 |
| 1.301 | 20.1 |
| 1.240 | 22.7 |
| 1.099 | 23.6 |

Crystal structure
```
Rb2LiAlF6
1.0
0.000 4.114 4.114
4.114 0.000 4.114
4.114 4.114 0.000
Rb Li Al F
2 1 1 6
direct
0.250 0.250 0.250
0.750 0.750 0.750
0.000 0.000 0.000
0.500 0.500 0.500
0.274 0.274 0.726
0.274 0.726 0.274
0.274 0.726 0.726
0.726 0.274 0.274
0.726 0.274 0.726
0.726 0.726 0.274
```

Entry 10:
CeAl4Ge2Au: calculated X-ray diffraction stick pattern (CuKα), based on a GGA-PBE-relaxed structure.
Kinematic intensities with the Lorentz-polarization factor, no thermal factor.

The 12 most intense peaks (2θ = 10–90°), low angle first:
| d [Å] | Rel. int. |
| --- | --- |
| 5.245 | 26.5 |
| 3.595 | 20.2 |
| 3.343 | 100.0 |
| 2.692 | 25.9 |
| 2.395 | 39.0 |
| 2.132 | 54.4 |
| 1.975 | 13.3 |
| 1.920 | 22.4 |
| 1.798 | 17.3 |
| 1.654 | 13.9 |
| 1.593 | 11.1 |
| 1.374 | 14.2 |

Crystal structure
```
CeAl4Ge2Au
1.0
2.132 1.231 10.490
-2.132 1.231 10.490
0.000 -2.462 10.490
Ce Al Ge Au
1 4 2 1
direct
0.000 0.000 0.000
0.192 0.192 0.192
0.417 0.417 0.417
0.583 0.583 0.583
0.808 0.808 0.808
0.276 0.276 0.276
0.724 0.724 0.724
0.500 0.500 0.500
```